Entry 1:
Theoretical powder X-ray diffraction pattern
Compound: CsMgTlF6
Radiation: a wavelength of 1.5418 Å
Structure: the GGA-PBE geometry in Alexandria

Structural model:
a b c (Å): 7.571 8.049 10.807
angles (deg): 90.00 90.00 90.00
Space group Imma (No. 74)
One atom of each set of equivalent atoms:
Cs (0.000, 0.250, 0.089) (multiplicity 4)
Mg (0.250, 0.250, 0.750) (multiplicity 4)
Tl (0.000, 0.000, 0.500) (multiplicity 4)
F (0.000, 0.250, 0.404) (multiplicity 4)
F (0.000, 0.250, 0.789) (multiplicity 4)
F (0.219, 0.070, 0.619) (multiplicity 16)

Principal peaks in the range 2θ from 10° to 80°, most intense first:
(1 2 1), d = 3.376 Å, 26.4 deg, intensity 100; (0 0 2), d = 5.403 Å, 16.4 deg, intensity 41; (2 0 2), d = 3.100 Å, 28.8 deg, intensity 30; (2 2 4), d = 1.930 Å, 47.1 deg, intensity 28; (1 0 1), d = 6.201 Å, 14.3 deg, intensity 28; (2 0 0), d = 3.785 Å, 23.5 deg, intensity 25; (3 2 1), d = 2.097 Å, 43.1 deg, intensity 23; (1 0 3), d = 3.253 Å, 27.4 deg, intensity 22; (0 2 2), d = 3.228 Å, 27.6 deg, intensity 16; (0 2 6), d = 1.643 Å, 56.0 deg, intensity 16



Entry 2:
Theoretical powder X-ray diffraction pattern
Compound: CsMgTl2F8
Radiation: a wavelength of 1.5418 Å
Structure: the GGA-PBE geometry in Alexandria

Structural model:
a b c (Å): 5.8289 5.8289 22.5189
angles (deg): 90.00 90.00 120.00
Space group R-3m (No. 166, hexagonal axes)
One atom of each set of equivalent atoms:
Cs (0.0000, 0.0000, 0.0000) (multiplicity 3)
Mg (0.0000, 0.0000, 0.5000) (multiplicity 3)
Tl (0.0000, 0.0000, 0.1951) (multiplicity 6)
F (0.0000, 0.0000, 0.2881) (multiplicity 6)
F (0.0078, 0.5039, 0.7884) (multiplicity 18)

Principal peaks in the range 2θ from 10° to 80°, most intense first:
(1 1 0), d = 2.914 Å, 30.7 deg, intensity 100; (0 0 3), d = 7.506 Å, 11.8 deg, intensity 87; (0 1 5), d = 3.361 Å, 26.5 deg, intensity 82; (1 0 1), d = 4.926 Å, 18.0 deg, intensity 58; (1 1 6), d = 2.302 Å, 39.1 deg, intensity 58; (0 0 6), d = 3.756 Å, 23.7 deg, intensity 55; (2 0 5), d = 2.202 Å, 41.0 deg, intensity 48; (0 2 10), d = 1.681 Å, 54.6 deg, intensity 46; (2 2 0), d = 1.456 Å, 63.9 deg, intensity 42; (1 0 10), d = 2.057 Å, 44.0 deg, intensity 35